[1]
Diffraction record for Pr2PaPdN4. The X-ray diffraction stick pattern is theoretical, not measured: it uses a GGA-PBE-relaxed structure and a wavelength of 1.5418 Å.

Cell and atoms:
```
Pr2PaPdN4
1.0
6.3478 0.0000 0.0000
0.0000 3.4825 0.0000
-2.8829 0.0000 5.6889
Pr Pa Pd N
2 1 1 4
direct
0.0000 0.0000 0.0000
0.5000 0.5000 0.0000
0.0000 0.5000 0.5000
0.5000 0.0000 0.5000
0.1912 0.0000 0.7458
0.2590 0.5000 0.2918
0.7410 0.5000 0.7082
0.8088 0.0000 0.2542
```

Most intense lines, 2θ = 10–80°, sorted by position:
30.51 deg, rel. 100
31.45 deg, rel. 47
31.60 deg, rel. 47
33.05 deg, rel. 57
37.36 deg, rel. 82
50.62 deg, rel. 33

=====

[2]
Diffraction record for In2Sn2Sb. The X-ray diffraction stick pattern is theoretical, not measured: it uses a GGA-PBE-relaxed structure and a wavelength of 1.5418 Å.

Cell and atoms:
```
In2Sn2Sb
1.0
8.9552 0.0000 0.0000
0.0000 8.9552 0.0000
0.0000 0.0000 3.5193
In Sn Sb
4 4 2
direct
0.1327 0.3673 0.0000
0.3673 0.8673 0.0000
0.6327 0.1327 0.0000
0.8673 0.6327 0.0000
0.1678 0.6678 0.5000
0.3322 0.1678 0.5000
0.6678 0.8322 0.5000
0.8322 0.3322 0.5000
0.0000 0.0000 0.5000
0.5000 0.5000 0.5000
```

Most intense lines, 2θ = 10–80°, sorted by position:
29.03 deg, rel. 17
31.59 deg, rel. 65
33.91 deg, rel. 100
61.69 deg, rel. 20
62.13 deg, rel. 25
66.42 deg, rel. 14

=====

[3]
Diffraction record for Na2PuZn2O6. The X-ray diffraction stick pattern is theoretical, not measured: it uses a GGA-PBE-relaxed structure and a wavelength of 1.5418 Å.

Cell and atoms:
```
Na2PuZn2O6
1.0
5.3980 0.0000 0.0000
-2.6990 4.6748 0.0000
0.0000 0.0000 5.6860
Na Pu Zn O
2 1 2 6
direct
0.3333 0.6667 0.0000
0.6667 0.3333 0.0000
0.0000 0.0000 0.5000
0.3333 0.6667 0.5000
0.6667 0.3333 0.5000
0.0000 0.3274 0.7010
0.0000 0.6726 0.2990
0.3274 0.0000 0.7010
0.3274 0.3274 0.2990
0.6726 0.0000 0.2990
0.6726 0.6726 0.7010
```

Most intense lines, 2θ = 10–80°, sorted by position:
15.58 deg, rel. 100
18.98 deg, rel. 27
24.65 deg, rel. 55
33.19 deg, rel. 53
36.86 deg, rel. 59
46.39 deg, rel. 64